(1)
Starting from the GGA-PBE geometry in Alexandria, the X-ray powder pattern of Ba3Sr3Zn4 was calculated for Cu Kα (weighted mean of Kα1 and Kα2).
Intensities are scaled so that the largest is 1000.

Structure:
Unit cell a=5.3234 b=11.9517 c=12.0181 alpha=90.00 beta=90.00 gamma=90.00
Space group Amm2 (No. 38)
Symmetry-distinct sites (fractional):
Ba 0.0000 0.0000 0.0000
Ba 0.0000 0.1734 0.6721
Sr 0.0000 0.0000 0.3450
Sr 0.5000 0.2478 0.4221
Zn 0.5000 0.0000 0.5599
Zn 0.5000 0.0000 0.7816
Zn 0.5000 0.1090 0.1760

Top 10 peaks for 10° ≤ 2θ ≤ 80°, by angle:
| d/Å | I_rel | (hkl) |
| --- | --- | --- |
| 3.315 | 544 | 1 2 2 |
| 3.087 | 1000 | 1 3 1 |
| 2.684 | 161 | 0 2 4 |
| 2.675 | 150 | 0 4 2 |
| 2.662 | 265 | 2 0 0 |
| 1.890 | 127 | 2 2 4 |
| 1.887 | 105 | 2 4 2 |
| 1.875 | 71 | 1 0 6 |
| 1.607 | 141 | 3 3 1 |
| 1.585 | 76 | 1 6 4 |

***

(2)
Starting from the GGA-PBE geometry in Alexandria, the X-ray powder pattern of BaSr2Zn9 was calculated for Cu Kα (weighted mean of Kα1 and Kα2).
Intensities are scaled so that the largest is 1000.

Structure:
Unit cell a=5.8572 b=5.8572 c=26.4649 alpha=90.00 beta=90.00 gamma=120.00
Space group R-3m (No. 166, hexagonal axes)
Symmetry-distinct sites (fractional):
Ba 0.0000 0.0000 0.0000
Sr 0.0000 0.0000 0.1441
Zn 0.0000 0.0000 0.3352
Zn 0.0000 0.0000 0.5000
Zn 0.0042 0.5021 0.9192

Top 10 peaks for 10° ≤ 2θ ≤ 80°, by angle:
| d/Å | I_rel | (hkl) |
| --- | --- | --- |
| 3.031 | 200 | 1 0 7 |
| 2.929 | 328 | 1 1 0 |
| 2.771 | 223 | 0 1 8 |
| 2.525 | 335 | 0 2 1 |
| 2.440 | 1000 | 1 1 6 |
| 2.287 | 173 | 2 0 5 |
| 2.205 | 187 | 0 0 12 |
| 1.579 | 251 | 3 0 6 |
| 1.464 | 253 | 2 2 0 |
| 1.220 | 200 | 2 2 12 |

***

(3)
Starting from the GGA-PBE geometry in Alexandria, the X-ray powder pattern of BaSr2Zn was calculated for Cu Kα (weighted mean of Kα1 and Kα2).
Intensities are scaled so that the largest is 1000.

Structure:
Unit cell a=4.1090 b=4.0899 c=10.5068 alpha=90.00 beta=90.02 gamma=90.00
Space group Pm (No. 6)
Symmetry-distinct sites (fractional):
Ba 0.0000 0.0000 0.0000
Sr 0.4984 0.5000 0.3283
Sr 0.9993 0.0000 0.6339
Zn 0.5001 0.5000 0.8058

Top 10 peaks for 10° ≤ 2θ ≤ 80°, by angle:
| d/Å | I_rel | (hkl) |
| --- | --- | --- |
| 3.819 | 225 | 1 0 -1 |
| 3.502 | 174 | 0 0 3 |
| 3.232 | 1000 | 1 0 2 |
| 2.899 | 576 | 1 1 0 |
| 2.663 | 239 | 1 0 -3 |
| 2.233 | 202 | 1 1 -3 |
| 2.212 | 125 | 1 0 -4 |
| 1.733 | 160 | 2 1 2 |
| 1.729 | 159 | 1 2 2 |
| 1.499 | 113 | 1 1 6 |

***

(4)
Starting from the GGA-PBE geometry in Alexandria, the X-ray powder pattern of BaSrZn2 was calculated for Cu Kα (weighted mean of Kα1 and Kα2).
Intensities are scaled so that the largest is 1000.

Structure:
Unit cell a=4.6036 b=6.4814 c=9.1973 alpha=90.00 beta=90.00 gamma=90.00
Space group Pmc2_1 (No. 26)
Symmetry-distinct sites (fractional):
Ba 0.0000 0.1464 0.0000
Sr 0.5000 0.3586 0.6426
Zn 0.0000 0.3476 0.3506
Zn 0.5000 0.1710 0.3022

Top 10 peaks for 10° ≤ 2θ ≤ 80°, by angle:
| d/Å | I_rel | (hkl) |
| --- | --- | --- |
| 3.475 | 905 | 1 1 1 |
| 3.253 | 923 | 1 0 2 |
| 3.057 | 759 | 0 2 1 |
| 2.908 | 719 | 1 1 2 |
| 2.771 | 993 | 0 1 3 |
| 2.546 | 1000 | 1 2 1 |
| 2.302 | 518 | 2 0 0 |
| 1.839 | 343 | 2 2 1 |
| 1.800 | 475 | 1 3 2 |
| 1.771 | 526 | 2 1 3 |